AgPb3Cl7: computed PXRD pattern (CuKα), based on a structure optimized by DFT (GGA-PBE).
Neutral-atom scattering factors, no anomalous dispersion.

Unit cell a=8.635 b=8.635 c=9.402 alpha=90.00 beta=90.00 gamma=106.92
Fractional positions:
Ag1 0.019 0.019 0.000
Ag2 0.981 0.981 0.500
Pb1 0.003 0.552 0.738
Pb2 0.448 0.448 0.500
Pb3 0.448 0.997 0.762
Pb4 0.552 0.003 0.262
Pb5 0.552 0.552 0.000
Pb6 0.997 0.448 0.238
Cl1 0.077 0.344 0.955
Cl2 0.089 0.911 0.750
Cl3 0.107 0.345 0.535
Cl4 0.344 0.077 0.045
Cl5 0.345 0.107 0.465
Cl6 0.356 0.644 0.750
Cl7 0.372 0.628 0.250
Cl8 0.628 0.372 0.750
Cl9 0.644 0.356 0.250
Cl10 0.655 0.893 0.965
Cl11 0.656 0.923 0.545
Cl12 0.893 0.655 0.035
Cl13 0.911 0.089 0.250
Cl14 0.923 0.656 0.455

Largest 12 diffraction maxima, in order of rising 2θ, 5 to 70 degrees two-theta:
| 2θ (°) | I_rel |
| --- | --- |
| 14.3 | 13 |
| 21.5 | 100 |
| 22.9 | 100 |
| 25.7 | 40 |
| 28.4 | 15 |
| 32.6 | 19 |
| 34.9 | 17 |
| 36.6 | 77 |
| 38.3 | 22 |
| 42.1 | 17 |
| 43.6 | 13 |
| 44.3 | 29 |

=====

RbAg2PbCl8: computed PXRD pattern (CuKα), based on a structure optimized by DFT (GGA-PBE).
Neutral-atom scattering factors, no anomalous dispersion.

Unit cell a=8.233 b=8.233 c=8.233 alpha=127.16 beta=127.16 gamma=77.98
Fractional positions:
Rb1 0.000 0.000 0.000
Ag1 0.500 0.500 0.000
Ag2 0.750 0.250 0.500
Pb1 0.250 0.750 0.500
Cl1 0.026 0.398 0.961
Cl2 0.198 0.468 0.636
Cl3 0.437 0.065 0.039
Cl4 0.438 0.802 0.271
Cl5 0.532 0.168 0.729
Cl6 0.602 0.563 0.628
Cl7 0.832 0.562 0.364
Cl8 0.935 0.974 0.372

Largest 12 diffraction maxima, in order of rising 2θ, 5 to 70 degrees two-theta:
| 2θ (°) | I_rel |
| --- | --- |
| 13.9 | 20 |
| 22.1 | 100 |
| 24.3 | 38 |
| 27.9 | 46 |
| 28.1 | 15 |
| 34.6 | 21 |
| 37.3 | 27 |
| 41.5 | 76 |
| 45.0 | 23 |
| 46.0 | 16 |
| 58.8 | 25 |
| 63.8 | 15 |

=====

RbAgPb2Cl7: computed PXRD pattern (CuKα), based on a structure optimized by DFT (GGA-PBE).
Neutral-atom scattering factors, no anomalous dispersion.

Unit cell a=12.192 b=12.192 c=12.192 alpha=153.83 beta=153.83 gamma=37.35
Fractional positions:
Rb1 0.000 0.000 0.000
Ag1 0.750 0.250 0.500
Pb1 0.376 0.376 0.000
Pb2 0.624 0.624 0.000
Cl1 0.102 0.602 0.500
Cl2 0.255 0.255 0.000
Cl3 0.398 0.898 0.500
Cl4 0.500 0.500 0.000
Cl5 0.625 0.125 0.500
Cl6 0.745 0.745 0.000
Cl7 0.875 0.375 0.500

Largest 12 diffraction maxima, in order of rising 2θ, 5 to 70 degrees two-theta:
| 2θ (°) | I_rel |
| --- | --- |
| 16.5 | 84 |
| 19.8 | 100 |
| 22.8 | 32 |
| 25.1 | 49 |
| 31.0 | 43 |
| 32.4 | 83 |
| 36.6 | 24 |
| 38.3 | 39 |
| 41.5 | 27 |
| 45.5 | 57 |
| 46.5 | 29 |
| 56.9 | 29 |

=====

Ag2SnPbCl8: computed PXRD pattern (CuKα), based on a structure optimized by DFT (GGA-PBE).
Neutral-atom scattering factors, no anomalous dispersion.

Unit cell a=8.579 b=8.579 c=8.579 alpha=133.60 beta=133.60 gamma=67.72
Fractional positions:
Ag1 0.000 0.000 0.000
Ag2 0.750 0.250 0.500
Sn1 0.250 0.750 0.500
Pb1 0.500 0.500 0.000
Cl1 0.088 0.199 0.481
Cl2 0.139 0.628 0.089
Cl3 0.372 0.461 0.511
Cl4 0.393 0.912 0.111
Cl5 0.539 0.050 0.911
Cl6 0.718 0.607 0.519
Cl7 0.801 0.282 0.889
Cl8 0.950 0.861 0.489

Largest 12 diffraction maxima, in order of rising 2θ, 5 to 70 degrees two-theta:
| 2θ (°) | I_rel |
| --- | --- |
| 22.4 | 100 |
| 25.0 | 7 |
| 26.4 | 11 |
| 36.7 | 47 |
| 37.6 | 23 |
| 42.5 | 19 |
| 44.2 | 34 |
| 45.7 | 10 |
| 58.1 | 15 |
| 58.6 | 8 |
| 59.4 | 7 |
| 67.3 | 11 |

=====

Sr2AgPbCl8: computed PXRD pattern (CuKα), based on a structure optimized by DFT (GGA-PBE).
Neutral-atom scattering factors, no anomalous dispersion.

Unit cell a=5.471 b=6.894 c=9.611 alpha=84.56 beta=88.19 gamma=85.44
Fractional positions:
Sr1 0.070 0.493 0.253
Sr2 0.930 0.507 0.747
Ag1 0.500 0.000 0.000
Pb1 0.500 0.000 0.500
Cl1 0.064 0.249 0.524
Cl2 0.162 0.276 0.998
Cl3 0.356 0.859 0.229
Cl4 0.416 0.674 0.715
Cl5 0.584 0.326 0.285
Cl6 0.644 0.141 0.771
Cl7 0.838 0.724 0.002
Cl8 0.936 0.751 0.476

Largest 12 diffraction maxima, in order of rising 2θ, 5 to 70 degrees two-theta:
| 2θ (°) | I_rel |
| --- | --- |
| 20.0 | 65 |
| 21.6 | 100 |
| 23.7 | 35 |
| 26.3 | 20 |
| 32.9 | 17 |
| 33.7 | 26 |
| 36.1 | 22 |
| 36.8 | 24 |
| 37.6 | 37 |
| 38.2 | 18 |
| 41.4 | 18 |
| 44.2 | 18 |

=====

TbAgPbCl6: computed PXRD pattern (CuKα), based on a structure optimized by DFT (GGA-PBE).
Neutral-atom scattering factors, no anomalous dispersion.

Unit cell a=6.923 b=6.923 c=12.796 alpha=90.00 beta=90.00 gamma=120.00
Fractional positions:
Tb1 0.333 0.667 0.250
Tb2 0.667 0.333 0.750
Ag1 0.333 0.667 0.750
Ag2 0.667 0.333 0.250
Pb1 0.000 0.000 0.000
Pb2 0.000 0.000 0.500
Cl1 0.013 0.354 0.130
Cl2 0.013 0.659 0.370
Cl3 0.341 0.354 0.370
Cl4 0.341 0.987 0.130
Cl5 0.354 0.013 0.630
Cl6 0.354 0.341 0.870
Cl7 0.646 0.659 0.130
Cl8 0.646 0.987 0.370
Cl9 0.659 0.013 0.870
Cl10 0.659 0.646 0.630
Cl11 0.987 0.341 0.630
Cl12 0.987 0.646 0.870

Largest 12 diffraction maxima, in order of rising 2θ, 5 to 70 degrees two-theta:
| 2θ (°) | I_rel |
| --- | --- |
| 20.3 | 100 |
| 25.7 | 32 |
| 29.3 | 14 |
| 33.0 | 30 |
| 38.3 | 58 |
| 42.3 | 31 |
| 45.1 | 13 |
| 45.4 | 25 |
| 52.7 | 8 |
| 57.2 | 13 |
| 59.5 | 11 |
| 60.9 | 14 |